Pm3Tl4Hg2: theoretical powder XRD pattern (Cu Kα), based on the GGA-PBE geometry in Alexandria.
Lines closer than 0.1° are merged.

Cell and atoms:
a b c (Å): 8.1152 8.1152 4.4451
angles (deg): 90.00 90.00 120.00
Atoms (fractional coordinates):
Pm: 0.0000 0.4002 0.0000
Pm: 0.4002 0.0000 0.0000
Pm: 0.5998 0.5998 0.0000
Tl: 0.0000 0.0000 0.0000
Tl: 0.0000 0.7317 0.5000
Tl: 0.2683 0.2683 0.5000
Tl: 0.7317 0.0000 0.5000
Hg: 0.3333 0.6667 0.5000
Hg: 0.6667 0.3333 0.5000

Largest 10 diffraction maxima, by angle, 10° ≤ 2θ ≤ 90°:
2θ 29.81, rel. 100; 2θ 32.48, rel. 93; 2θ 33.74, rel. 39; 2θ 38.43, rel. 59; 2θ 39.52, rel. 47; 2θ 40.59, rel. 33; 2θ 53.78, rel. 21; 2θ 57.13, rel. 42; 2θ 61.14, rel. 42; 2θ 89.92, rel. 17



Tm4H2Pb: theoretical powder XRD pattern (Cu Kα), based on the GGA-PBE geometry in Alexandria.
Lines closer than 0.1° are merged.

Cell and atoms:
a b c (Å): 7.0808 7.0808 9.4514
angles (deg): 123.97 123.97 57.53
Atoms (fractional coordinates):
Tm: 0.0055 0.5143 0.8706
Tm: 0.0358 0.0358 0.2155
Tm: 0.0395 0.5425 0.2446
Tm: 0.4237 0.3896 0.6017
Tm: 0.4575 0.9605 0.7554
Tm: 0.4857 0.9945 0.1294
Tm: 0.6104 0.5763 0.3983
Tm: 0.9642 0.9642 0.7845
H: 0.2064 0.6544 0.1820
H: 0.3456 0.7936 0.8180
H: 0.4166 0.3692 0.3504
H: 0.6308 0.5834 0.6496
Pb: 0.5722 0.4278 0.0000
Pb: 0.9182 0.0818 0.5000

Largest 10 diffraction maxima, by angle, 10° ≤ 2θ ≤ 90°:
2θ 28.93, rel. 21; 2θ 29.92, rel. 42; 2θ 31.02, rel. 62; 2θ 31.62, rel. 92; 2θ 32.26, rel. 100; 2θ 32.54, rel. 19; 2θ 34.08, rel. 39; 2θ 34.42, rel. 52; 2θ 39.26, rel. 30; 2θ 51.69, rel. 35